The following is a computed powder X-ray diffraction pattern of SiO2. It was derived from DFT lattice parameters and positions (PBE), using CuKα.

Principal peaks in the range 2θ from 5° to 70°, sorted by position:
2θ = 6.75°, rel. 62; 2θ = 7.12°, rel. 100; 2θ = 18.49°, rel. 20; 2θ = 19.16°, rel. 39; 2θ = 19.62°, rel. 24; 2θ = 20.35°, rel. 8; 2θ = 26.18°, rel. 22; 2θ = 27.23°, rel. 13

Unit cell a=15.1073 b=15.1073 c=15.1073 alpha=159.83 beta=124.31 gamma=59.85
Positions (direct):
Si (0.0526, 0.6060, 0.4465)
Si (0.0771, 0.7162, 0.3609)
Si (0.0987, 0.0587, 0.0400)
Si (0.1447, 0.2838, 0.8609)
Si (0.2053, 0.4553, 0.7500)
Si (0.2755, 0.0255, 0.2500)
Si (0.3405, 0.3940, 0.9465)
Si (0.4813, 0.9413, 0.5400)
Si (0.5187, 0.0587, 0.4600)
Si (0.6595, 0.6060, 0.0535)
Si (0.7245, 0.9745, 0.7500)
Si (0.7947, 0.5447, 0.2500)
Si (0.8553, 0.7162, 0.1391)
Si (0.9013, 0.9413, 0.9600)
Si (0.9229, 0.2838, 0.6391)
Si (0.9474, 0.3940, 0.5535)
O (0.0000, 0.0000, 0.0000)
O (0.0524, 0.3024, 0.7500)
O (0.0770, 0.4199, 0.6570)
O (0.0929, 0.3387, 0.2544)
O (0.0929, 0.8386, 0.7542)
O (0.0996, 0.6675, 0.4321)
O (0.1324, 0.0000, 0.6324)
O (0.1324, 0.5000, 0.1324)
O (0.2157, 0.0604, 0.1552)
O (0.2402, 0.2398, 0.4996)
O (0.2402, 0.7406, 0.0004)
O (0.2629, 0.4199, 0.8430)
O (0.2646, 0.3325, 0.9321)
O (0.4052, 0.0604, 0.3448)
O (0.4157, 0.1614, 0.7544)
O (0.4157, 0.6613, 0.2542)
O (0.5000, 0.0000, 0.5000)
O (0.5843, 0.3387, 0.7458)
O (0.5843, 0.8386, 0.2456)
O (0.5948, 0.9396, 0.6552)
O (0.7354, 0.6675, 0.0679)
O (0.7371, 0.5801, 0.1570)
O (0.7598, 0.2594, 0.9996)
O (0.7598, 0.7602, 0.5004)
O (0.7843, 0.9396, 0.8448)
O (0.8676, 0.0000, 0.3676)
O (0.8676, 0.5000, 0.8676)
O (0.9004, 0.3325, 0.5679)
O (0.9071, 0.1614, 0.2458)
O (0.9071, 0.6613, 0.7456)
O (0.9230, 0.5801, 0.3430)
O (0.9476, 0.6976, 0.2500)

The following is a computed powder X-ray diffraction pattern of Lu4Co3. It was derived from DFT lattice parameters and positions (PBE), using CuKα.

Principal peaks in the range 2θ from 5° to 70°, sorted by position:
2θ = 33.72°, rel. 100; 2θ = 33.86°, rel. 35; 2θ = 36.32°, rel. 26; 2θ = 43.44°, rel. 20; 2θ = 46.19°, rel. 16; 2θ = 56.10°, rel. 11; 2θ = 58.48°, rel. 13; 2θ = 65.52°, rel. 22

Unit cell a=11.0221 b=11.0221 c=3.9310 alpha=90.00 beta=90.00 gamma=120.00
Positions (direct):
Lu (0.0222, 0.2477, 0.2511)
Lu (0.1353, 0.6205, 0.2505)
Lu (0.2254, 0.9778, 0.2511)
Lu (0.2477, 0.2254, 0.7489)
Lu (0.3795, 0.5148, 0.2505)
Lu (0.4852, 0.8647, 0.2505)
Lu (0.5148, 0.1353, 0.7495)
Lu (0.6205, 0.4852, 0.7495)
Lu (0.7523, 0.7746, 0.2511)
Lu (0.7746, 0.0222, 0.7489)
Lu (0.8647, 0.3795, 0.7495)
Lu (0.9778, 0.7523, 0.7489)
Co (0.0000, 0.0000, 0.5000)
Co (0.1555, 0.4382, 0.7492)
Co (0.2828, 0.8445, 0.7492)
Co (0.3333, 0.6667, 0.7506)
Co (0.4382, 0.2828, 0.2508)
Co (0.5618, 0.7172, 0.7492)
Co (0.6667, 0.3333, 0.2494)
Co (0.7172, 0.1555, 0.2508)
Co (0.8445, 0.5618, 0.2508)